For AlH3O3, the PBE geometry in the Materials Project gives the theoretical powder X-ray diffraction pattern in this record (a wavelength of 1.5418 Å).

Structural model:
```
AlH3O3
1.0
5.1562 0.0000 0.0000
-0.0718 8.8577 0.0000
-0.1936 -0.2261 9.5454
Al H O
8 24 24
Cartesian
0.0000 0.0000 0.0000 Al
-0.1245 4.2690 4.9663 Al
2.1316 8.6881 4.7670 Al
2.3567 4.3750 0.1867 Al
2.4944 7.3556 0.0314 Al
2.4589 2.7858 4.9538 Al
4.6970 7.2174 4.7830 Al
4.9417 2.9337 0.1684 Al
0.4752 4.2904 7.8100 H
0.5454 -0.0761 6.6946 H
0.5195 6.8522 7.7428 H
0.6318 2.4940 6.7476 H
1.0147 5.7599 1.6547 H
1.0862 1.5749 3.1437 H
1.2784 3.4311 2.1496 H
1.3458 6.0501 5.8592 H
1.4239 7.0906 2.9511 H
1.3699 1.4633 8.7078 H
1.7563 0.1868 1.8485 H
2.0639 4.9517 3.8588 H
3.0637 2.6016 7.8022 H
3.0611 7.1788 6.7386 H
3.1208 0.0485 7.7805 H
3.1635 4.5331 6.7361 H
3.6455 1.3205 1.5920 H
3.7859 3.7031 2.1346 H
3.7670 8.2323 2.7853 H
3.9728 0.9914 5.8827 H
3.9021 5.4263 8.6599 H
4.0564 5.5268 2.9119 H
4.5327 2.0547 3.8786 H
4.6067 6.6826 1.0573 H
0.3791 5.8679 5.9328 O
0.3980 1.3500 8.5696 O
0.4586 8.6605 5.7280 O
0.4823 4.1445 8.7739 O
0.7662 7.3686 8.5346 O
0.9222 3.0614 6.0083 O
1.1074 7.5169 3.7620 O
1.3647 3.1677 1.2134 O
1.5249 4.1393 3.9339 O
1.5583 8.6892 0.9583 O
1.7821 1.4305 3.7946 O
1.8657 5.9262 1.2191 O
3.0091 1.1719 5.8951 O
2.9254 5.5412 8.6520 O
3.0434 7.2524 5.7666 O
3.0834 2.7545 8.7642 O
3.3588 8.3209 8.4928 O
3.4927 3.9658 6.0199 O
3.7020 8.4193 3.7458 O
3.9417 4.1436 1.2692 O
4.1173 7.5232 1.0492 O
4.1086 2.9312 3.9386 O
4.2439 5.6176 3.8614 O
4.5124 1.3685 1.1536 O
```

Principal peaks in the range 10 to 80 degrees two-theta, in order of rising 2θ:
| hkl | 2theta | intensity |
| --- | --- | --- |
| 0 0 2 | 18.6 | 100 |
| 0 2 0 | 20.1 | 26 |
| 1 1 -1 | 21.9 | 34 |
| 1 -1 1 | 22.0 | 16 |
| 1 1 1 | 22.3 | 15 |
| 1 3 -2 | 39.5 | 14 |
| 1 -3 2 | 39.6 | 15 |
| -1 3 2 | 40.0 | 19 |
| 1 3 2 | 40.6 | 13 |
| 1 3 -3 | 44.8 | 17 |
| -1 3 3 | 45.6 | 11 |
| 0 6 0 | 63.0 | 13 |